Simulated PXRD pattern of BaTeRu3 for CuKα, from the PBE geometry in Alexandria.

Top 8 peaks for 10° ≤ 2θ ≤ 90°, by angle:
two_theta, I/Imax
17.92, 17.6
25.45, 36.6
31.30, 63.2
36.30, 100.0
52.28, 69.2
62.21, 25.5
65.31, 23.4
88.31, 31.5

a b c (Å): 4.949 4.949 4.949
angles (deg): 90.00 90.00 90.00
Element x y z (fractional)
Ba  0.000  0.000  0.000
Te  0.500  0.500  0.500
Ru  0.000  0.500  0.500
Ru  0.500  0.000  0.500
Ru  0.500  0.500  0.000


Simulated PXRD pattern of BaTi2Ru2 for CuKα, from the PBE geometry in Alexandria.

Top 8 peaks for 10° ≤ 2θ ≤ 90°, by angle:
two_theta, I/Imax
29.98, 37.6
30.80, 100.0
33.57, 43.8
42.91, 44.0
43.35, 30.0
53.75, 40.6
55.27, 14.7
62.64, 19.9

a b c (Å): 4.215 4.215 12.013
angles (deg): 90.00 90.00 90.00
Element x y z (fractional)
Ba  0.000  0.000  0.000
Ba  0.500  0.500  0.500
Ti  0.000  0.500  0.250
Ti  0.000  0.500  0.750
Ti  0.500  0.000  0.250
Ti  0.500  0.000  0.750
Ru  0.000  0.000  0.371
Ru  0.000  0.000  0.629
Ru  0.500  0.500  0.129
Ru  0.500  0.500  0.871


Simulated PXRD pattern of BaTlRu4 for CuKα, from the PBE geometry in Alexandria.

Top 8 peaks for 10° ≤ 2θ ≤ 90°, by angle:
two_theta, I/Imax
32.55, 43.6
38.37, 100.0
40.14, 26.1
58.07, 16.9
61.97, 32.5
68.17, 25.6
81.03, 11.4
82.17, 9.4

a b c (Å): 5.502 5.502 5.502
angles (deg): 60.00 60.00 60.00
Element x y z (fractional)
Ba  0.000  0.000  0.000
Tl  0.250  0.250  0.250
Ru  0.129  0.624  0.624
Ru  0.624  0.129  0.624
Ru  0.624  0.624  0.129
Ru  0.624  0.624  0.624


Simulated PXRD pattern of BaTlRu2 for CuKα, from the PBE geometry in Alexandria.

Top 8 peaks for 10° ≤ 2θ ≤ 90°, by angle:
two_theta, I/Imax
15.28, 83.3
24.17, 48.7
30.10, 48.6
30.84, 57.5
38.36, 100.0
41.52, 41.1
50.01, 89.0
77.39, 21.5

a b c (Å): 8.123 4.696 6.396
angles (deg): 90.00 114.98 90.00
Element x y z (fractional)
Ba  0.000  0.000  0.000
Ba  0.500  0.500  0.000
Tl  0.000  0.500  0.500
Tl  0.500  0.000  0.500
Ru  0.176  0.000  0.527
Ru  0.324  0.500  0.473
Ru  0.676  0.500  0.527
Ru  0.824  0.000  0.473


Simulated PXRD pattern of BaV2Ru4 for CuKα, from the PBE geometry in Alexandria.

Top 8 peaks for 10° ≤ 2θ ≤ 90°, by angle:
two_theta, I/Imax
13.88, 32.0
25.22, 33.5
27.98, 48.5
28.90, 55.9
35.97, 100.0
39.67, 29.5
46.18, 48.8
51.78, 34.2

a b c (Å): 4.993 4.993 12.756
angles (deg): 90.00 90.00 90.00
Element x y z (fractional)
Ba  0.000  0.000  0.000
Ba  0.500  0.500  0.500
V  0.000  0.000  0.397
V  0.000  0.000  0.603
V  0.500  0.500  0.103
V  0.500  0.500  0.897
Ru  0.000  0.000  0.242
Ru  0.000  0.000  0.758
Ru  0.000  0.500  0.000
Ru  0.000  0.500  0.500
Ru  0.500  0.000  0.000
Ru  0.500  0.000  0.500
Ru  0.500  0.500  0.258
Ru  0.500  0.500  0.742


Simulated PXRD pattern of BaZrRu3 for CuKα, from the PBE geometry in Alexandria.

Top 8 peaks for 10° ≤ 2θ ≤ 90°, by angle:
two_theta, I/Imax
25.23, 26.2
31.03, 84.7
35.98, 100.0
51.80, 69.1
61.61, 34.8
64.68, 23.3
84.61, 14.4
87.35, 31.1

a b c (Å): 4.992 4.992 4.992
angles (deg): 90.00 90.00 90.00
Element x y z (fractional)
Ba  0.000  0.000  0.000
Zr  0.500  0.500  0.500
Ru  0.000  0.500  0.500
Ru  0.500  0.000  0.500
Ru  0.500  0.500  0.000


Simulated PXRD pattern of BaS5 for CuKα, from the PBE geometry in Alexandria.

Top 8 peaks for 10° ≤ 2θ ≤ 90°, by angle:
two_theta, I/Imax
14.82, 47.2
16.70, 49.3
22.75, 67.2
28.09, 64.5
29.90, 87.2
31.71, 63.6
33.09, 81.3
37.07, 100.0

a b c (Å): 4.830 10.615 6.151
angles (deg): 90.00 103.64 90.00
Element x y z (fractional)
Ba  0.160  0.250  0.015
Ba  0.840  0.750  0.985
S  0.041  0.114  0.495
S  0.041  0.386  0.495
S  0.272  0.750  0.503
S  0.386  0.537  0.103
S  0.386  0.963  0.103
S  0.614  0.037  0.897
S  0.614  0.463  0.897
S  0.728  0.250  0.497
S  0.959  0.614  0.505
S  0.959  0.886  0.505


Simulated PXRD pattern of Ba2S13 for CuKα, from the PBE geometry in Alexandria.

Top 8 peaks for 10° ≤ 2θ ≤ 90°, by angle:
two_theta, I/Imax
12.41, 64.8
14.26, 46.2
19.78, 52.5
26.07, 65.8
28.42, 68.9
29.53, 55.9
34.59, 100.0
36.88, 46.2

a b c (Å): 9.378 9.378 7.362
angles (deg): 103.39 103.39 41.70
Element x y z (fractional)
Ba  0.127  0.127  0.476
Ba  0.873  0.873  0.524
S  0.000  0.000  0.000
S  0.018  0.521  0.757
S  0.220  0.728  0.226
S  0.272  0.780  0.774
S  0.289  0.289  0.203
S  0.459  0.459  0.704
S  0.479  0.982  0.243
S  0.521  0.018  0.757
S  0.541  0.541  0.296
S  0.711  0.711  0.797
S  0.728  0.220  0.226
S  0.780  0.272  0.774
S  0.982  0.479  0.243